This entry pairs a crystal structure of VTe4O12 with its calculated XRD peak list. Radiation: Cu Ka. Structure: a structure optimized by DFT (GGA+U).
No peak broadening, texture or thermal motion is included.

Atomic structure:
a b c (Å): 5.153 5.842 8.139
angles (deg): 79.14 89.33 88.20
Space group P1 (No. 1)
Unique sites:
V1 0.000 0.000 0.000 x1
Te1 0.041 0.317 0.672 x1
Te2 0.058 0.393 0.227 x1
Te3 0.500 0.843 0.208 x1
Te4 0.508 0.784 0.661 x1
O1 0.136 0.290 0.911 x1
O2 0.188 0.024 0.240 x1
O3 0.197 0.628 0.616 x1
O4 0.309 0.814 0.003 x1
O5 0.326 0.144 0.602 x1
O6 0.363 0.533 0.304 x1
O7 0.637 0.854 0.429 x1
O8 0.698 0.114 0.106 x1
O9 0.722 0.483 0.717 x1
O10 0.813 0.693 0.132 x1
O11 0.884 0.010 0.781 x1
O12 0.892 0.342 0.440 x1

Peak list (10 most intense, 15° ≤ 2θ ≤ 90°, sorted by position)
| 2θ/deg | Rel. int. |
| --- | --- |
| 17.24 | 22 |
| 22.24 | 97 |
| 22.86 | 92 |
| 23.56 | 100 |
| 29.86 | 34 |
| 30.56 | 35 |
| 31.19 | 31 |
| 34.22 | 35 |
| 34.57 | 26 |
| 34.86 | 35 |